Entry 1:
This entry pairs a crystal structure of MgGeW with its simulated powder XRD pattern. Radiation: Cu Kα (λ = 1.5418 Å). Structure: a structure optimized by DFT (GGA-PBE).
Kinematic intensities with the Lorentz-polarization factor, no thermal factor.

```
data_MgGeW
_chemical_formula_sum 'Mg6 Ge6 W6'
_cell_length_a 4.2968
_cell_length_b 4.2968
_cell_length_c 20.7144
_cell_angle_alpha 90.00
_cell_angle_beta 90.00
_cell_angle_gamma 120.00
_symmetry_space_group_name_H-M 'R -3 m'
_symmetry_Int_Tables_number 166
_symmetry_space_group_name_Hall '-R 3 2"'
loop_
_atom_site_label
_atom_site_type_symbol
_atom_site_fract_x
_atom_site_fract_y
_atom_site_fract_z
Mg1 Mg 0.0000 0.0000 0.1328
Ge1 Ge 0.0000 0.0000 0.4104
W1 W 0.0000 0.0000 0.2872
```

Principal peaks in the range 5 to 70 degrees two-theta, in order of rising 2θ:
| hkl | 2θ/deg | I/Imax |
| --- | --- | --- |
| 0 0 3 | 12.8 | 79 |
| 1 0 1 | 24.3 | 40 |
| 0 1 2 | 25.4 | 79 |
| 0 1 5 | 32.3 | 29 |
| 1 0 7 | 38.9 | 100 |
| 1 1 0 | 42.1 | 97 |
| 1 1 3 | 44.1 | 24 |
| 1 0 10 | 50.4 | 22 |
| 0 2 7 | 58.6 | 30 |
| 1 1 9 | 58.8 | 28 |

***

Entry 2:
This entry pairs a crystal structure of SrCu3O4 with its simulated powder XRD pattern. Radiation: Cu Kα (λ = 1.5418 Å). Structure: a structure optimized by DFT (GGA-PBE).
Kinematic intensities with the Lorentz-polarization factor, no thermal factor.

```
data_SrCu3O4
_chemical_formula_sum 'Sr2 Cu6 O8'
_cell_length_a 5.726
_cell_length_b 5.726
_cell_length_c 5.726
_cell_angle_alpha 90.00
_cell_angle_beta 90.00
_cell_angle_gamma 90.00
_symmetry_space_group_name_H-M 'P m -3 n'
_symmetry_Int_Tables_number 223
_symmetry_space_group_name_Hall '-P 4n 2 3'
loop_
_atom_site_label
_atom_site_type_symbol
_atom_site_fract_x
_atom_site_fract_y
_atom_site_fract_z
Sr1 Sr 0.000 0.000 0.000
Cu1 Cu 0.000 0.250 0.500
O1 O 0.250 0.250 0.250
```

Principal peaks in the range 5 to 70 degrees two-theta, in order of rising 2θ:
| hkl | 2θ/deg | I/Imax |
| --- | --- | --- |
| 1 1 0 | 22.0 | 3 |
| 2 0 0 | 31.2 | 14 |
| 2 1 0 | 35.0 | 100 |
| 2 1 1 | 38.5 | 99 |
| 2 2 0 | 44.8 | 8 |
| 3 1 0 | 50.4 | 1 |
| 2 2 2 | 55.6 | 13 |
| 3 2 0 | 58.1 | 21 |
| 3 2 1 | 60.5 | 50 |
| 4 0 0 | 65.2 | 24 |

***

Entry 3:
This entry pairs a crystal structure of Rb3Th3PaSe8 with its simulated powder XRD pattern. Radiation: Cu Kα (λ = 1.5418 Å). Structure: a structure optimized by DFT (GGA-PBE).
Kinematic intensities with the Lorentz-polarization factor, no thermal factor.

```
data_Rb3Th3PaSe8
_chemical_formula_sum 'Rb9 Th9 Pa3 Se24'
_cell_length_a 8.4505
_cell_length_b 8.4505
_cell_length_c 24.9739
_cell_angle_alpha 90.00
_cell_angle_beta 90.00
_cell_angle_gamma 120.00
_symmetry_space_group_name_H-M 'R -3 m'
_symmetry_Int_Tables_number 166
_symmetry_space_group_name_Hall '-R 3 2"'
loop_
_atom_site_label
_atom_site_type_symbol
_atom_site_fract_x
_atom_site_fract_y
_atom_site_fract_z
Rb1 Rb 0.0000 0.5000 0.0000
Th1 Th 0.0000 0.5000 0.5000
Pa1 Pa 0.0000 0.0000 0.5000
Se1 Se 0.0000 0.0000 0.2357
Se2 Se 0.0051 0.5026 0.2332
```

Principal peaks in the range 5 to 70 degrees two-theta, in order of rising 2θ:
| hkl | 2θ/deg | I/Imax |
| --- | --- | --- |
| 0 0 3 | 10.6 | 68 |
| 0 2 1 | 24.6 | 15 |
| 0 2 4 | 28.3 | 100 |
| 0 2 7 | 35.1 | 21 |
| 2 0 8 | 37.9 | 38 |
| 2 2 0 | 42.8 | 35 |
| 2 2 3 | 44.2 | 14 |
| 4 0 4 | 52.1 | 18 |
| 2 2 12 | 62.7 | 13 |
| 2 4 4 | 69.6 | 16 |

***

Entry 4:
This entry pairs a crystal structure of Li3FeS3 with its simulated powder XRD pattern. Radiation: Cu Kα (λ = 1.5418 Å). Structure: a structure optimized by DFT (GGA-PBE).
Kinematic intensities with the Lorentz-polarization factor, no thermal factor.

```
data_Li3FeS3
_chemical_formula_sum 'Li12 Fe4 S12'
_cell_length_a 6.529
_cell_length_b 12.959
_cell_length_c 6.738
_cell_angle_alpha 90.00
_cell_angle_beta 116.12
_cell_angle_gamma 90.00
_symmetry_space_group_name_H-M 'P 1 21/c 1'
_symmetry_Int_Tables_number 14
loop_
_symmetry_equiv_pos_as_xyz
'x,y,z'
'-x,-y,-z'
'-x,y+1/2,-z+1/2'
'x,-y+1/2,z+1/2'
loop_
_atom_site_label
_atom_site_type_symbol
_atom_site_fract_x
_atom_site_fract_y
_atom_site_fract_z
Li1 Li 0.088 0.186 0.224
Li2 Li 0.279 0.556 0.957
Li3 Li 0.328 0.719 0.661
Fe1 Fe 0.336 0.067 0.853
S1 S 0.027 0.143 0.846
S2 S 0.332 0.610 0.343
S3 S 0.379 0.121 0.559
```

Principal peaks in the range 5 to 70 degrees two-theta, in order of rising 2θ:
| hkl | 2θ/deg | I/Imax |
| --- | --- | --- |
| 0 2 0 | 13.7 | 33 |
| 1 0 0 | 15.1 | 30 |
| 0 1 1 | 16.2 | 37 |
| 1 1 -1 | 17.2 | 100 |
| 0 2 1 | 20.1 | 46 |
| 1 1 1 | 26.3 | 51 |
| 1 0 -2 | 26.6 | 37 |
| 0 4 0 | 27.5 | 64 |
| 0 1 3 | 45.5 | 28 |
| 3 1 -3 | 49.1 | 28 |

***

Entry 5:
This entry pairs a crystal structure of DyTm6Zr with its simulated powder XRD pattern. Radiation: Cu Kα (λ = 1.5418 Å). Structure: a structure optimized by DFT (GGA-PBE).
Kinematic intensities with the Lorentz-polarization factor, no thermal factor.

```
data_DyTm6Zr
_chemical_formula_sum 'Dy1 Tm6 Zr1'
_cell_length_a 4.883
_cell_length_b 4.883
_cell_length_c 9.745
_cell_angle_alpha 90.00
_cell_angle_beta 90.00
_cell_angle_gamma 90.00
_symmetry_space_group_name_H-M 'P 4/m m m'
_symmetry_Int_Tables_number 123
_symmetry_space_group_name_Hall '-P 4 2'
loop_
_atom_site_label
_atom_site_type_symbol
_atom_site_fract_x
_atom_site_fract_y
_atom_site_fract_z
Dy1 Dy 0.000 0.000 0.000
Tm1 Tm 0.000 0.500 0.261
Tm2 Tm 0.500 0.500 0.000
Tm3 Tm 0.500 0.500 0.500
Zr1 Zr 0.000 0.000 0.500
```

Principal peaks in the range 5 to 70 degrees two-theta, in order of rising 2θ:
| hkl | 2θ/deg | I/Imax |
| --- | --- | --- |
| 1 0 0 | 18.2 | 1 |
| 1 1 0 | 25.8 | 1 |
| 0 0 3 | 27.4 | 2 |
| 1 1 2 | 31.8 | 100 |
| 2 0 0 | 36.8 | 50 |
| 2 2 0 | 53.1 | 35 |
| 1 1 5 | 54.0 | 1 |
| 3 1 2 | 63.2 | 28 |
| 1 1 6 | 63.3 | 13 |
| 2 2 4 | 66.4 | 12 |

***

Entry 6:
This entry pairs a crystal structure of Er2In9Pb with its simulated powder XRD pattern. Radiation: Cu Kα (λ = 1.5418 Å). Structure: a structure optimized by DFT (GGA-PBE).
Kinematic intensities with the Lorentz-polarization factor, no thermal factor.

```
data_Er2In9Pb
_chemical_formula_sum 'Er2 In9 Pb1'
_cell_length_a 4.664
_cell_length_b 4.664
_cell_length_c 14.319
_cell_angle_alpha 90.00
_cell_angle_beta 90.00
_cell_angle_gamma 90.00
_symmetry_space_group_name_H-M 'P 4/m m m'
_symmetry_Int_Tables_number 123
_symmetry_space_group_name_Hall '-P 4 2'
loop_
_atom_site_label
_atom_site_type_symbol
_atom_site_fract_x
_atom_site_fract_y
_atom_site_fract_z
Er1 Er 0.000 0.000 0.160
In1 In 0.000 0.500 0.000
In2 In 0.000 0.500 0.326
In3 In 0.500 0.500 0.162
In4 In 0.500 0.500 0.500
Pb1 Pb 0.000 0.000 0.500
```

Principal peaks in the range 5 to 70 degrees two-theta, in order of rising 2θ:
| hkl | 2θ/deg | I/Imax |
| --- | --- | --- |
| 1 0 0 | 19.0 | 2 |
| 1 0 3 | 26.7 | 2 |
| 1 1 3 | 33.0 | 100 |
| 0 0 6 | 37.7 | 17 |
| 2 0 0 | 38.6 | 33 |
| 2 0 6 | 55.1 | 22 |
| 2 2 0 | 55.7 | 11 |
| 1 1 9 | 65.1 | 13 |
| 3 1 3 | 66.3 | 26 |
| 2 2 6 | 69.3 | 11 |

***

Entry 7:
This entry pairs a crystal structure of AlCo2Cl with its simulated powder XRD pattern. Radiation: Cu Kα (λ = 1.5418 Å). Structure: a structure optimized by DFT (GGA-PBE).
Kinematic intensities with the Lorentz-polarization factor, no thermal factor.

```
data_AlCo2Cl
_chemical_formula_sum 'Al1 Co2 Cl1'
_cell_length_a 2.952
_cell_length_b 3.178
_cell_length_c 6.225
_cell_angle_alpha 90.00
_cell_angle_beta 90.00
_cell_angle_gamma 90.00
_symmetry_space_group_name_H-M 'P m m m'
_symmetry_Int_Tables_number 47
loop_
_symmetry_equiv_pos_as_xyz
'x,y,z'
'-x,-y,-z'
'-x,-y,z'
'x,y,-z'
'x,-y,-z'
'-x,y,z'
'-x,y,-z'
'x,-y,z'
loop_
_atom_site_label
_atom_site_type_symbol
_atom_site_fract_x
_atom_site_fract_y
_atom_site_fract_z
Al1 Al 0.000 0.000 0.000
Co1 Co 0.500 0.500 0.195
Cl1 Cl 0.000 0.500 0.500
```

Principal peaks in the range 5 to 70 degrees two-theta, in order of rising 2θ:
| hkl | 2θ/deg | I/Imax |
| --- | --- | --- |
| 0 0 1 | 14.2 | 29 |
| 0 1 0 | 28.1 | 100 |
| 0 1 2 | 40.6 | 31 |
| 1 1 0 | 41.8 | 50 |
| 1 0 2 | 42.2 | 88 |
| 0 0 3 | 43.6 | 21 |
| 1 1 1 | 44.3 | 65 |
| 1 1 2 | 51.4 | 40 |
| 0 1 3 | 52.7 | 50 |
| 0 2 0 | 58.1 | 22 |

***

Entry 8:
This entry pairs a crystal structure of La12Pd5Pb with its simulated powder XRD pattern. Radiation: Cu Kα (λ = 1.5418 Å). Structure: a structure optimized by DFT (GGA-PBE).
Kinematic intensities with the Lorentz-polarization factor, no thermal factor.

```
data_La12Pd5Pb
_chemical_formula_sum 'La24 Pd10 Pb2'
_cell_length_a 9.882
_cell_length_b 10.291
_cell_length_c 10.934
_cell_angle_alpha 90.00
_cell_angle_beta 90.00
_cell_angle_gamma 90.00
_symmetry_space_group_name_H-M 'I m m m'
_symmetry_Int_Tables_number 71
_symmetry_space_group_name_Hall '-I 2 2'
loop_
_atom_site_label
_atom_site_type_symbol
_atom_site_fract_x
_atom_site_fract_y
_atom_site_fract_z
La1 La 0.000 0.186 0.217
La2 La 0.196 0.500 0.174
La3 La 0.208 0.321 0.500
Pd1 Pd 0.000 0.000 0.000
Pd2 Pd 0.000 0.355 0.000
Pd3 Pd 0.000 0.500 0.369
Pb1 Pb 0.000 0.000 0.500
```

Principal peaks in the range 5 to 70 degrees two-theta, in order of rising 2θ:
| hkl | 2θ/deg | I/Imax |
| --- | --- | --- |
| 3 1 0 | 28.5 | 29 |
| 2 2 2 | 29.9 | 100 |
| 2 1 3 | 31.7 | 87 |
| 1 3 2 | 32.1 | 99 |
| 0 0 4 | 32.8 | 56 |
| 3 2 1 | 33.3 | 41 |
| 4 0 0 | 36.4 | 32 |
| 0 6 0 | 53.4 | 33 |
| 2 5 3 | 54.5 | 25 |
| 5 3 2 | 56.3 | 44 |

***

Entry 9:
This entry pairs a crystal structure of La12Y2Ho5 with its simulated powder XRD pattern. Radiation: Cu Kα (λ = 1.5418 Å). Structure: a structure optimized by DFT (GGA-PBE).
Kinematic intensities with the Lorentz-polarization factor, no thermal factor.

```
data_La12Y2Ho5
_chemical_formula_sum 'La24 Y4 Ho10'
_cell_length_a 19.586
_cell_length_b 7.678
_cell_length_c 10.052
_cell_angle_alpha 90.00
_cell_angle_beta 118.70
_cell_angle_gamma 90.00
_symmetry_space_group_name_H-M 'C 1 2/m 1'
_symmetry_Int_Tables_number 12
loop_
_symmetry_equiv_pos_as_xyz
'x,y,z'
'-x,-y,-z'
'-x,y,-z'
'x,-y,z'
'x+1/2,y+1/2,z'
'-x+1/2,-y+1/2,-z'
'-x+1/2,y+1/2,-z'
'x+1/2,-y+1/2,z'
loop_
_atom_site_label
_atom_site_type_symbol
_atom_site_fract_x
_atom_site_fract_y
_atom_site_fract_z
La1 La 0.001 0.000 0.297
La2 La 0.017 0.500 0.861
La3 La 0.159 0.249 0.345
La4 La 0.162 0.231 0.987
Y1 Y 0.000 0.301 0.500
Ho1 Ho 0.000 0.000 0.000
Ho2 Ho 0.176 0.000 0.671
Ho3 Ho 0.181 0.500 0.691
```

Principal peaks in the range 5 to 70 degrees two-theta, in order of rising 2θ:
| hkl | 2θ/deg | I/Imax |
| --- | --- | --- |
| 2 2 1 | 29.2 | 85 |
| 4 2 -1 | 29.6 | 45 |
| 0 0 3 | 30.4 | 30 |
| 0 2 2 | 30.9 | 21 |
| 6 0 0 | 31.2 | 100 |
| 4 2 -2 | 31.3 | 22 |
| 6 0 -3 | 31.5 | 25 |
| 0 4 0 | 47.4 | 21 |
| 8 2 -5 | 54.5 | 17 |
| 6 4 0 | 57.8 | 19 |

***

Entry 10:
This entry pairs a crystal structure of Zn3In2 with its simulated powder XRD pattern. Radiation: Cu Kα (λ = 1.5418 Å). Structure: a structure optimized by DFT (GGA-PBE).
Kinematic intensities with the Lorentz-polarization factor, no thermal factor.

```
data_Zn3In2
_chemical_formula_sum 'Zn3 In2'
_cell_length_a 4.3638
_cell_length_b 4.3638
_cell_length_c 6.7569
_cell_angle_alpha 90.00
_cell_angle_beta 90.00
_cell_angle_gamma 120.00
_symmetry_space_group_name_H-M 'P -3 m 1'
_symmetry_Int_Tables_number 164
_symmetry_space_group_name_Hall '-P 3 2"'
loop_
_atom_site_label
_atom_site_type_symbol
_atom_site_fract_x
_atom_site_fract_y
_atom_site_fract_z
Zn1 Zn 0.0000 0.0000 0.0000
Zn2 Zn 0.3333 0.6667 0.3987
In1 In 0.3333 0.6667 0.8181
```

Principal peaks in the range 5 to 70 degrees two-theta, in order of rising 2θ:
| hkl | 2θ/deg | I/Imax |
| --- | --- | --- |
| 1 0 0 | 23.5 | 22 |
| 1 0 1 | 27.0 | 43 |
| 1 0 2 | 35.6 | 100 |
| 1 1 0 | 41.4 | 73 |
| 0 1 3 | 47.0 | 28 |
| 0 2 1 | 50.1 | 8 |
| 0 2 2 | 55.7 | 26 |
| 0 1 4 | 60.0 | 9 |
| 2 0 3 | 64.4 | 10 |
| 2 1 1 | 67.0 | 6 |

***

Entry 11:
This entry pairs a crystal structure of SrSb with its simulated powder XRD pattern. Radiation: Cu Kα (λ = 1.5418 Å). Structure: a structure optimized by DFT (GGA-PBE).
Kinematic intensities with the Lorentz-polarization factor, no thermal factor.

```
data_SrSb
_chemical_formula_sum 'Sr16 Sb16'
_cell_length_a 7.743
_cell_length_b 10.983
_cell_length_c 13.662
_cell_angle_alpha 90.00
_cell_angle_beta 90.00
_cell_angle_gamma 90.00
_symmetry_space_group_name_H-M 'F d d d'
_symmetry_Int_Tables_number 70
loop_
_symmetry_equiv_pos_as_xyz
'x,y,z'
'-x,-y,-z'
'-x+1/4,-y+1/4,z'
'x+1/4,y+1/4,-z'
'x,-y+1/4,-z+1/4'
'-x,y+1/4,z+1/4'
'-x+1/4,y,-z+1/4'
'x+1/4,-y,z+1/4'
'x,y+1/2,z+1/2'
'-x,-y+1/2,-z+1/2'
'-x+1/4,-y+3/4,z+1/2'
'x+1/4,y+3/4,-z+1/2'
'x,-y+3/4,-z+3/4'
'-x,y+3/4,z+3/4'
'-x+1/4,y+1/2,-z+3/4'
'x+1/4,-y+1/2,z+3/4'
'x+1/2,y,z+1/2'
'-x+1/2,-y,-z+1/2'
'-x+3/4,-y+1/4,z+1/2'
'x+3/4,y+1/4,-z+1/2'
'x+1/2,-y+1/4,-z+3/4'
'-x+1/2,y+1/4,z+3/4'
'-x+3/4,y,-z+3/4'
'x+3/4,-y,z+3/4'
'x+1/2,y+1/2,z'
'-x+1/2,-y+1/2,-z'
'-x+3/4,-y+3/4,z'
'x+3/4,y+3/4,-z'
'x+1/2,-y+3/4,-z+1/4'
'-x+1/2,y+3/4,z+1/4'
'-x+3/4,y+1/2,-z+1/4'
'x+3/4,-y+1/2,z+1/4'
loop_
_atom_site_label
_atom_site_type_symbol
_atom_site_fract_x
_atom_site_fract_y
_atom_site_fract_z
Sr1 Sr 0.125 0.348 0.125
Sb1 Sb 0.066 0.375 0.875
```

Principal peaks in the range 5 to 70 degrees two-theta, in order of rising 2θ:
| hkl | 2θ/deg | I/Imax |
| --- | --- | --- |
| 0 0 4 | 26.1 | 90 |
| 1 3 1 | 27.7 | 27 |
| 2 2 0 | 28.2 | 100 |
| 0 4 0 | 32.6 | 41 |
| 1 3 3 | 33.5 | 17 |
| 3 1 1 | 36.4 | 26 |
| 2 2 4 | 38.8 | 85 |
| 3 1 3 | 41.0 | 19 |
| 0 4 4 | 42.2 | 40 |
| 2 2 8 | 61.7 | 21 |

***

Entry 12:
This entry pairs a crystal structure of Sr2CePrCu3Pb2O10 with its simulated powder XRD pattern. Radiation: Cu Kα (λ = 1.5418 Å). Structure: a structure optimized by DFT (GGA-PBE).
Kinematic intensities with the Lorentz-polarization factor, no thermal factor.

```
data_Sr2CePrCu3Pb2O10
_chemical_formula_sum 'Sr2 Ce1 Pr1 Cu3 Pb2 O10'
_cell_length_a 3.873
_cell_length_b 3.898
_cell_length_c 18.966
_cell_angle_alpha 84.81
_cell_angle_beta 84.20
_cell_angle_gamma 89.99
_symmetry_space_group_name_H-M 'P 1'
_symmetry_Int_Tables_number 1
loop_
_symmetry_equiv_pos_as_xyz
'x,y,z'
loop_
_atom_site_label
_atom_site_type_symbol
_atom_site_fract_x
_atom_site_fract_y
_atom_site_fract_z
Sr1 Sr 0.000 0.000 0.000
Sr2 Sr 0.240 0.267 0.528
Ce1 Ce 0.335 0.352 0.335
Pr1 Pr 0.904 0.915 0.193
Cu1 Cu 0.120 0.133 0.763
Cu2 Cu 0.453 0.459 0.095
Cu3 Cu 0.788 0.809 0.431
Pb1 Pb 0.571 0.591 0.858
Pb2 Pb 0.669 0.676 0.669
O1 O 0.070 0.991 0.860
O2 O 0.171 0.276 0.666
O3 O 0.293 0.814 0.419
O4 O 0.367 0.881 0.270
O5 O 0.448 0.955 0.104
O6 O 0.513 0.509 0.973
O7 O 0.727 0.760 0.553
O8 O 0.793 0.314 0.420
O9 O 0.867 0.381 0.270
O10 O 0.948 0.454 0.106
```

Principal peaks in the range 5 to 70 degrees two-theta, in order of rising 2θ:
| hkl | 2θ/deg | I/Imax |
| --- | --- | --- |
| 1 0 2 | 24.0 | 24 |
| 0 1 -4 | 31.2 | 44 |
| 1 0 -4 | 31.5 | 88 |
| 0 1 5 | 31.6 | 46 |
| 1 1 1 | 32.6 | 100 |
| 1 -1 6 | 43.6 | 20 |
| 1 1 7 | 44.0 | 19 |
| 0 2 1 | 46.6 | 25 |
| 2 0 1 | 46.9 | 26 |
| -1 2 5 | 57.6 | 26 |